This entry pairs a crystal structure of NaLaHfTiO6 with its theoretical powder diffractogram. Radiation: Cu Kα (weighted mean of Kα1 and Kα2). Structure: a cell relaxed with PBE.
Lines closer than 0.1° are merged.

Structure:
Unit cell a=8.0103 b=8.0103 c=8.0103 alpha=90.00 beta=90.00 gamma=90.00
Space group F-43m (No. 216)
Inequivalent atoms, fractional coordinates:
Na 0.0000 0.0000 0.0000 (multiplicity 4)
La 0.0000 0.0000 0.5000 (multiplicity 4)
Hf 0.2500 0.2500 0.2500 (multiplicity 4)
Ti 0.2500 0.2500 0.7500 (multiplicity 4)
O 0.0062 0.2500 0.7500 (multiplicity 24)

Principal peaks in the range 10 to 90 degrees two-theta, in order of falling intensity:
- 31.59 deg, rel. 100
- 19.19 deg, rel. 50
- 56.26 deg, rel. 39
- 45.28 deg, rel. 34
- 37.23 deg, rel. 31
- 65.97 deg, rel. 20



This entry pairs a crystal structure of NaLaHfZrO6 with its theoretical powder diffractogram. Radiation: Cu Kα (weighted mean of Kα1 and Kα2). Structure: a cell relaxed with PBE.
Lines closer than 0.1° are merged.

Structure:
Unit cell a=8.2759 b=8.2759 c=8.2759 alpha=90.00 beta=90.00 gamma=90.00
Space group F-43m (No. 216)
Inequivalent atoms, fractional coordinates:
Na 0.0000 0.0000 0.0000 (multiplicity 4)
La 0.0000 0.0000 0.5000 (multiplicity 4)
Hf 0.2500 0.2500 0.7500 (multiplicity 4)
Zr 0.2500 0.2500 0.2500 (multiplicity 4)
O 0.0018 0.2500 0.7500 (multiplicity 24)

Principal peaks in the range 10 to 90 degrees two-theta, in order of falling intensity:
- 30.55 deg, rel. 100
- 54.30 deg, rel. 41
- 43.75 deg, rel. 33
- 18.57 deg, rel. 27
- 88.39 deg, rel. 21
- 63.60 deg, rel. 20